No. 1
Structure and simulated powder diffractogram of Li15Mg2Tl2 (a cell relaxed with PBE; Cu Kα (λ = 1.5418 Å)).
Peak positions follow from Bragg's law for the DFT cell and can differ from measured ones.

Peak list (10 most intense, 10° ≤ 2θ ≤ 90°, sorted by position)
(1 0 1), 12.49°, I = 100; (1 1 0), 19.11°, I = 88; (0 2 1), 22.90°, I = 25; (1 0 4), 26.26°, I = 47; (2 1 1), 29.99°, I = 25; (0 1 5), 31.91°, I = 21; (0 2 4), 32.70°, I = 24; (3 0 0), 33.42°, I = 27; (2 1 4), 38.14°, I = 31; (1 2 5), 42.39°, I = 20

```
data_Li15Mg2Tl2
_chemical_formula_sum 'Li45 Mg6 Tl6'
_cell_length_a 9.2880
_cell_length_b 9.2880
_cell_length_c 14.9605
_cell_angle_alpha 90.00
_cell_angle_beta 90.00
_cell_angle_gamma 120.00
_space_group_name_H-M_alt 'R -3 m'
_space_group_IT_number 166
_space_group_name_Hall '-R 3 2"'
loop_
_atom_site_label
_atom_site_type_symbol
_atom_site_fract_x
_atom_site_fract_y
_atom_site_fract_z
Li1 Li 0.0000 0.2847 0.0000
Li2 Li 0.0000 0.5000 0.5000
Li3 Li 0.0126 0.5063 0.1297
Mg1 Mg 0.0000 0.0000 0.3302
Tl1 Tl 0.0000 0.0000 0.1122
```

No. 2
Structure and simulated powder diffractogram of CdH2Pd (a cell relaxed with PBE; Cu Kα (λ = 1.5418 Å)).
Peak positions follow from Bragg's law for the DFT cell and can differ from measured ones.

Peak list (10 most intense, 10° ≤ 2θ ≤ 90°, sorted by position)
(1 1 0), 22.02°, I = 32; (1 1 -1), 24.60°, I = 79; (0 2 1), 28.30°, I = 66; (1 1 1), 31.08°, I = 64; (2 0 0), 38.42°, I = 41; (1 3 0), 39.05°, I = 100; (2 1 0), 40.12°, I = 31; (0 2 2), 41.60°, I = 63; (2 2 -1), 44.21°, I = 33; (1 1 2), 45.78°, I = 42

```
data_CdH2Pd
_chemical_formula_sum 'Cd4 H8 Pd4'
_cell_length_a 4.8663
_cell_length_b 7.9484
_cell_length_c 5.3828
_cell_angle_alpha 90.00
_cell_angle_beta 105.64
_cell_angle_gamma 90.00
_space_group_name_H-M_alt 'P 1 21/c 1'
_space_group_IT_number 14
_space_group_name_Hall '-P 2ybc'
loop_
_atom_site_label
_atom_site_type_symbol
_atom_site_fract_x
_atom_site_fract_y
_atom_site_fract_z
Cd1 Cd 0.2211 0.0641 0.2349
H1 H 0.1166 0.6685 0.1355
H2 H 0.4500 0.1856 0.7297
Pd1 Pd 0.3323 0.7171 0.4511
```

No. 3
Structure and simulated powder diffractogram of Dy2VFe (a cell relaxed with PBE; Cu Kα (λ = 1.5418 Å)).
Peak positions follow from Bragg's law for the DFT cell and can differ from measured ones.

Peak list (10 most intense, 10° ≤ 2θ ≤ 90°, sorted by position)
(0 0 6), 18.26°, I = 38; (0 0 9), 27.54°, I = 33; (1 0 1), 31.96°, I = 77; (0 1 2), 32.41°, I = 54; (0 1 5), 35.43°, I = 100; (0 1 8), 40.51°, I = 22; (1 0 10), 44.77°, I = 87; (0 1 11), 47.12°, I = 30; (1 1 0), 56.68°, I = 43; (1 1 15), 76.43°, I = 21

```
data_Dy2VFe
_chemical_formula_sum 'Dy6 V3 Fe3'
_cell_length_a 3.2482
_cell_length_b 3.2482
_cell_length_c 29.1477
_cell_angle_alpha 90.00
_cell_angle_beta 90.00
_cell_angle_gamma 120.00
_space_group_name_H-M_alt 'R -3 m'
_space_group_IT_number 166
_space_group_name_Hall '-R 3 2"'
loop_
_atom_site_label
_atom_site_type_symbol
_atom_site_fract_x
_atom_site_fract_y
_atom_site_fract_z
Dy1 Dy 0.0000 0.0000 0.0986
V1 V 0.0000 0.0000 0.0000
Fe1 Fe 0.0000 0.0000 0.5000
```

No. 4
Structure and simulated powder diffractogram of LaPbBr5 (a cell relaxed with PBE; Cu Kα (λ = 1.5418 Å)).
Peak positions follow from Bragg's law for the DFT cell and can differ from measured ones.

Peak list (10 most intense, 10° ≤ 2θ ≤ 90°, sorted by position)
(1 0 -1), 12.01°, I = 100; (1 1 1), 23.54°, I = 25; (1 1 2), 26.10°, I = 35; (2 1 0), 29.18°, I = 74; (2 1 -2), 31.44°, I = 20; (0 0 5), 31.79°, I = 13; (2 1 -4), 38.32°, I = 13; (2 1 4), 39.63°, I = 21; (1 1 5), 39.72°, I = 13; (0 2 0), 40.30°, I = 24

```
data_LaPbBr5
_chemical_formula_sum 'La2 Pb2 Br10'
_cell_length_a 8.4189
_cell_length_b 4.4758
_cell_length_c 14.0900
_cell_angle_alpha 90.00
_cell_angle_beta 92.66
_cell_angle_gamma 90.00
_space_group_name_H-M_alt 'P 1 21/m 1'
_space_group_IT_number 11
_space_group_name_Hall '-P 2yb'
loop_
_atom_site_label
_atom_site_type_symbol
_atom_site_fract_x
_atom_site_fract_y
_atom_site_fract_z
La1 La 0.0838 0.2500 0.1505
Pb1 Pb 0.4104 0.7500 0.3640
Br1 Br 0.1184 0.2500 0.7908
Br2 Br 0.1462 0.2500 0.3651
Br3 Br 0.1826 0.7500 0.0154
Br4 Br 0.3554 0.7500 0.5715
Br5 Br 0.4283 0.2500 0.1824
```

No. 5
Structure and simulated powder diffractogram of Pm2MgBr2N2 (a cell relaxed with PBE; Cu Kα (λ = 1.5418 Å)).
Peak positions follow from Bragg's law for the DFT cell and can differ from measured ones.

Peak list (10 most intense, 10° ≤ 2θ ≤ 90°, sorted by position)
(0 0 4), 19.13°, I = 21; (1 0 1), 22.36°, I = 44; (1 0 3), 26.21°, I = 33; (1 1 0), 31.07°, I = 96; (1 0 5), 32.64°, I = 100; (1 1 4), 36.74°, I = 29; (1 0 7), 40.61°, I = 66; (2 0 0), 44.51°, I = 44; (2 1 5), 56.28°, I = 40; (2 1 7), 61.82°, I = 38

```
data_Pm2MgBr2N2
_chemical_formula_sum 'Pm4 Mg2 Br4 N4'
_cell_length_a 4.0707
_cell_length_b 4.0707
_cell_length_c 18.5597
_cell_angle_alpha 90.00
_cell_angle_beta 90.00
_cell_angle_gamma 90.00
_space_group_name_H-M_alt 'I 4/m m m'
_space_group_IT_number 139
_space_group_name_Hall '-I 4 2'
loop_
_atom_site_label
_atom_site_type_symbol
_atom_site_fract_x
_atom_site_fract_y
_atom_site_fract_z
Pm1 Pm 0.0000 0.0000 0.0812
Mg1 Mg 0.0000 0.0000 0.5000
Br1 Br 0.0000 0.0000 0.3352
N1 N 0.0000 0.5000 0.0000
```

No. 6
Structure and simulated powder diffractogram of Ce3PuTl3 (a cell relaxed with PBE; Cu Kα (λ = 1.5418 Å)).
Peak positions follow from Bragg's law for the DFT cell and can differ from measured ones.

Peak list (10 most intense, 10° ≤ 2θ ≤ 90°, sorted by position)
(0 0 2), 13.58°, I = 28; (6 0 0), 27.14°, I = 52; (0 0 4), 27.32°, I = 57; (0 2 1), 28.13°, I = 38; (1 1 4), 30.99°, I = 38; (0 2 3), 34.32°, I = 27; (6 0 4), 38.90°, I = 100; (0 2 4), 39.02°, I = 27; (6 2 1), 39.49°, I = 29; (6 2 3), 44.29°, I = 28

```
data_Ce3PuTl3
_chemical_formula_sum 'Ce24 Pu8 Tl24'
_cell_length_a 19.7170
_cell_length_b 6.5400
_cell_length_c 13.0382
_cell_angle_alpha 90.00
_cell_angle_beta 90.00
_cell_angle_gamma 90.00
_space_group_name_H-M_alt 'C m c e'
_space_group_IT_number 64
_space_group_name_Hall '-C 2ac 2'
loop_
_atom_site_label
_atom_site_type_symbol
_atom_site_fract_x
_atom_site_fract_y
_atom_site_fract_z
Ce1 Ce 0.0000 0.2264 0.0971
Ce2 Ce 0.1666 0.1386 0.3582
Pu1 Pu 0.0838 0.0000 0.5000
Tl1 Tl 0.0000 0.2435 0.3348
Tl2 Tl 0.1703 0.1405 0.0984
```

No. 7
Structure and simulated powder diffractogram of Sc2Cu2Pd5 (a cell relaxed with PBE; Cu Kα (λ = 1.5418 Å)).
Peak positions follow from Bragg's law for the DFT cell and can differ from measured ones.

Peak list (10 most intense, 10° ≤ 2θ ≤ 90°, sorted by position)
(1 -1 0), 17.66°, I = 55; (2 1 -2), 35.37°, I = 33; (1 0 -3), 38.68°, I = 83; (1 1 -3), 38.92°, I = 33; (1 2 1), 40.05°, I = 100; (0 1 -3), 40.53°, I = 34; (1 -3 1), 41.11°, I = 51; (2 2 -2), 42.58°, I = 92; (-3 1 2), 45.10°, I = 33; (2 -1 2), 45.84°, I = 32

```
data_Sc2Cu2Pd5
_chemical_formula_sum 'Sc4 Cu4 Pd10'
_cell_length_a 6.4921
_cell_length_b 6.9511
_cell_length_c 7.0770
_cell_angle_alpha 99.50
_cell_angle_beta 108.40
_cell_angle_gamma 97.96
_space_group_name_H-M_alt 'P 1'
_space_group_IT_number 1
_space_group_name_Hall 'P 1'
loop_
_atom_site_label
_atom_site_type_symbol
_atom_site_fract_x
_atom_site_fract_y
_atom_site_fract_z
Sc1 Sc 0.0000 0.0000 0.0000
Sc2 Sc 0.1361 0.0082 0.4902
Sc3 Sc 0.3584 0.4516 0.9024
Sc4 Sc 0.6517 0.6102 0.4073
Cu1 Cu 0.1295 0.4055 0.1626
Cu2 Cu 0.6165 0.7453 0.8229
Cu3 Cu 0.6899 0.9503 0.2038
Cu4 Cu 0.9386 0.2638 0.7683
Pd1 Pd 0.2459 0.6430 0.5157
Pd2 Pd 0.3035 0.7753 0.1774
Pd3 Pd 0.3306 0.9622 0.8525
Pd4 Pd 0.4289 0.2004 0.2379
Pd5 Pd 0.5487 0.3656 0.6377
Pd6 Pd 0.6088 0.9762 0.5663
Pd7 Pd 0.7039 0.2408 0.9988
Pd8 Pd 0.8644 0.6510 0.1442
Pd9 Pd 0.9238 0.3064 0.4163
Pd10 Pd 0.9798 0.6375 0.7655
```

No. 8
Structure and simulated powder diffractogram of V3SiP (a cell relaxed with PBE; Cu Kα (λ = 1.5418 Å)).
Peak positions follow from Bragg's law for the DFT cell and can differ from measured ones.

Peak list (10 most intense, 10° ≤ 2θ ≤ 90°, sorted by position)
(3 1 -2), 32.97°, I = 9; (5 1 -1), 40.47°, I = 16; (5 1 0), 40.90°, I = 32; (2 0 -4), 41.47°, I = 10; (0 0 4), 41.70°, I = 37; (5 1 -2), 42.79°, I = 25; (0 2 2), 43.93°, I = 100; (5 1 -3), 47.52°, I = 16; (5 1 2), 49.37°, I = 18; (10 2 0), 88.67°, I = 11

```
data_V3SiP
_chemical_formula_sum 'V24 Si8 P8'
_cell_length_a 12.7318
_cell_length_b 4.6882
_cell_length_c 8.8220
_cell_angle_alpha 90.00
_cell_angle_beta 100.86
_cell_angle_gamma 90.00
_space_group_name_H-M_alt 'C 1 2/c 1'
_space_group_IT_number 15
_space_group_name_Hall '-C 2yc'
loop_
_atom_site_label
_atom_site_type_symbol
_atom_site_fract_x
_atom_site_fract_y
_atom_site_fract_z
V1 V 0.0623 0.2383 0.0210
V2 V 0.0936 0.4821 0.7762
V3 V 0.2012 0.0228 0.2783
Si1 Si 0.1489 0.2579 0.5271
P1 P 0.0000 0.0082 0.2500
P2 P 0.2500 0.2500 0.0000
```